HoPaCoPd: simulated XRD peak list (Cu Kα, 1.54184 Å), based on a structure optimized by DFT (PBE).

Structural model:
Cell lengths 6.8478, 6.8478, 6.8478 Å; angles 90.00, 90.00, 90.00 degrees
Space group F-43m (No. 216)
Inequivalent atoms, fractional coordinates:
Ho 0.0000 0.0000 0.0000 (multiplicity 4)
Pa 0.0000 0.0000 0.5000 (multiplicity 4)
Co 0.2500 0.2500 0.2500 (multiplicity 4)
Pd 0.2500 0.2500 0.7500 (multiplicity 4)

The 6 most intense peaks (2θ = 10–90°), by angle:
(hkl)  2θ (°)  I_rel
2 0 0  26.0  19
2 2 0  37.1  100
4 0 0  53.5  17
4 2 0  60.5  8
4 2 2  66.9  36
4 4 0  79.1  11